Starting from a cell relaxed with GGA-PBE, the powder diffractogram of La2Zn3Ge4 was computed for a wavelength of 1.5418 Å.

Largest 12 diffraction maxima, by intensity, 10 to 80 degrees two-theta:
2theta, I/Imax
34.35, 100
37.68, 89
35.60, 67
34.14, 59
32.02, 49
36.36, 35
58.51, 25
56.13, 24
38.04, 23
51.35, 22
49.28, 18
62.39, 15

Cell and atoms:
a = 5.9534 Å, b = 15.5886 Å, c = 7.9947 Å
α = 90.00°, β = 90.00°, γ = 90.00°
Space group Cmce (No. 64)
One atom of each set of equivalent atoms:
La (0.0000, 0.1158, 0.0822) [8 per cell]
Zn (0.0000, 0.0000, 0.5000) [4 per cell]
Zn (0.2500, 0.2132, 0.7500) [8 per cell]
Ge (0.0000, 0.1891, 0.4521) [8 per cell]
Ge (0.2500, 0.0494, 0.7500) [8 per cell]